Entry 1:
Starting from a DFT-relaxed cell (GGA-PBE, Alexandria), the powder diffractogram of V4CoB was computed for Cu Kα (λ = 1.5418 Å).
Kinematic intensities with the Lorentz-polarization factor, no thermal factor.

Structural model:
Cell lengths 6.0545, 4.9666, 5.0124 Å; angles 90.00, 96.03, 90.00 degrees
Space group P2_1/c (No. 14)
Symmetry-distinct sites (fractional):
V: 0.1221 0.1274 0.3787 (multiplicity 4)
V: 0.3152 0.5999 0.3962 (multiplicity 4)
Co: 0.5000 0.0000 0.5000 (multiplicity 2)
B: 0.0000 0.0000 0.0000 (multiplicity 2)

Most intense lines, 2θ = 15–90°, in order of rising 2θ:
(hkl)  two_theta  I/Imax
2 1 0  34.85  62
0 0 2  36.04  22
0 2 0  36.17  20
1 0 -2  37.58  91
0 2 1  40.59  49
2 1 1  40.87  100
1 2 -1  42.70  55
1 2 1  44.09  20
1 1 2  44.68  17
3 1 -1  50.66  69

***

Entry 2:
Starting from a DFT-relaxed cell (GGA-PBE, Alexandria), the powder diffractogram of VCo2B2 was computed for Cu Kα (λ = 1.5418 Å).
Kinematic intensities with the Lorentz-polarization factor, no thermal factor.

Structural model:
Cell lengths 3.6351, 3.1843, 7.9336 Å; angles 90.00, 96.00, 90.00 degrees
Space group P2_1/m (No. 11)
Symmetry-distinct sites (fractional):
V: 0.2032 0.2500 0.2508 (multiplicity 2)
Co: 0.2487 0.7500 0.4993 (multiplicity 2)
Co: 0.3430 0.2500 0.8987 (multiplicity 2)
B: 0.1352 0.7500 0.0158 (multiplicity 2)
B: 0.2849 0.2500 0.6499 (multiplicity 2)

Most intense lines, 2θ = 15–90°, in order of rising 2θ:
(hkl)  two_theta  I/Imax
0 0 3  34.09  18
0 1 2  36.25  19
1 1 -1  38.61  19
1 1 1  40.19  100
1 1 -2  42.87  72
0 1 3  44.69  69
2 0 0  50.49  22
0 2 0  57.92  28
0 0 5  58.54  22
1 1 6  86.98  21

***

Entry 3:
Starting from a DFT-relaxed cell (GGA-PBE, Alexandria), the powder diffractogram of V3CoB3 was computed for Cu Kα (λ = 1.5418 Å).
Kinematic intensities with the Lorentz-polarization factor, no thermal factor.

Structural model:
Cell lengths 6.4321, 6.4321, 4.2063 Å; angles 90.00, 90.00, 120.00 degrees
Space group P6_3/m (No. 176)
Symmetry-distinct sites (fractional):
V: 0.0768 0.6971 0.2500 (multiplicity 6)
Co: 0.3333 0.6667 0.7500 (multiplicity 2)
B: 0.0571 0.7080 0.7500 (multiplicity 6)

Most intense lines, 2θ = 15–90°, in order of rising 2θ:
(hkl)  two_theta  I/Imax
1 0 0  15.91  60
2 0 0  32.14  13
1 1 1  35.12  88
2 0 1  38.78  91
0 0 2  42.98  100
1 2 1  48.34  48
3 0 0  49.06  49
1 2 2  62.41  26
3 0 2  67.26  40
3 2 1  78.17  27

***

Entry 4:
Starting from a DFT-relaxed cell (GGA-PBE, Alexandria), the powder diffractogram of YCo6B4 was computed for Cu Kα (λ = 1.5418 Å).
Kinematic intensities with the Lorentz-polarization factor, no thermal factor.

Structural model:
Cell lengths 6.1415, 6.1415, 3.2699 Å; angles 90.00, 90.00, 120.00 degrees
Space group P-6m2 (No. 187)
Symmetry-distinct sites (fractional):
Y: 0.0000 0.0000 0.0000 (multiplicity 1)
Co: 0.2039 0.4078 0.5000 (multiplicity 3)
Co: 0.5350 0.0699 0.0000 (multiplicity 3)
B: 0.3333 0.6667 0.0000 (multiplicity 1)
B: 0.4232 0.2116 0.5000 (multiplicity 3)

Most intense lines, 2θ = 15–90°, in order of rising 2θ:
(hkl)  two_theta  I/Imax
1 0 1  32.13  33
2 0 0  33.70  31
2 0 1  43.88  100
2 1 0  45.10  25
3 0 0  51.55  19
2 1 1  53.51  14
0 0 2  56.27  15
2 2 0  60.28  12
3 1 1  69.96  11
3 2 1  84.81  15

***

Entry 5:
Starting from a DFT-relaxed cell (GGA-PBE, Alexandria), the powder diffractogram of YCo12B4 was computed for Cu Kα (λ = 1.5418 Å).
Kinematic intensities with the Lorentz-polarization factor, no thermal factor.

Structural model:
Cell lengths 7.2257, 7.2257, 7.2257 Å; angles 90.00, 90.00, 90.00 degrees
Space group Im-3 (No. 204)
Symmetry-distinct sites (fractional):
Y: 0.0000 0.0000 0.0000 (multiplicity 2)
Co: 0.0000 0.3428 0.1774 (multiplicity 24)
B: 0.2500 0.2500 0.2500 (multiplicity 8)

Most intense lines, 2θ = 15–90°, in order of rising 2θ:
(hkl)  two_theta  I/Imax
2 1 1  30.30  6
3 0 1  39.44  100
2 2 2  43.38  8
3 1 2  47.06  46
3 3 2  60.06  6
4 2 2  63.02  12
4 3 1  65.92  19
5 3 0  76.94  11
6 0 0  79.61  12
5 2 3  82.25  9

***

Entry 6:
Starting from a DFT-relaxed cell (GGA-PBE, Alexandria), the powder diffractogram of Y4Co3B6 was computed for Cu Kα (λ = 1.5418 Å).
Kinematic intensities with the Lorentz-polarization factor, no thermal factor.

Structural model:
Cell lengths 5.3209, 5.3209, 21.9642 Å; angles 90.00, 90.00, 120.00 degrees
Space group R-3m (No. 166, hexagonal axes)
Symmetry-distinct sites (fractional):
Y: 0.0000 0.0000 0.0890 (multiplicity 6)
Y: 0.0000 0.0000 0.2446 (multiplicity 6)
Co: 0.0000 0.0000 0.3871 (multiplicity 6)
Co: 0.0000 0.0000 0.5000 (multiplicity 3)
B: 0.0000 0.3320 0.0000 (multiplicity 18)

Most intense lines, 2θ = 15–90°, in order of rising 2θ:
(hkl)  two_theta  I/Imax
0 0 6  24.31  24
1 1 0  33.69  100
1 0 7  34.58  24
0 1 8  38.16  23
1 1 6  41.98  53
3 0 0  60.25  22
1 1 12  61.49  11
1 2 8  63.23  9
3 0 6  65.95  9
2 2 0  70.84  11

***

Entry 7:
Starting from a DFT-relaxed cell (GGA-PBE, Alexandria), the powder diffractogram of Y2CoB2 was computed for Cu Kα (λ = 1.5418 Å).
Kinematic intensities with the Lorentz-polarization factor, no thermal factor.

Structural model:
Cell lengths 6.4027, 6.4027, 3.7117 Å; angles 90.00, 90.00, 90.00 degrees
Space group P4/mbm (No. 127)
Symmetry-distinct sites (fractional):
Y: 0.1901 0.3099 0.0000 (multiplicity 4)
Co: 0.0000 0.0000 0.5000 (multiplicity 2)
B: 0.0944 0.5944 0.5000 (multiplicity 4)

Most intense lines, 2θ = 15–90°, in order of rising 2θ:
(hkl)  two_theta  I/Imax
0 0 1  23.98  20
2 1 0  31.21  68
2 0 1  37.09  100
2 2 0  39.78  88
3 1 0  44.76  22
0 0 2  49.09  18
4 1 0  59.53  18
4 1 1  65.12  25
3 3 1  66.93  18
4 1 2  80.68  15

***

Entry 8:
Starting from a DFT-relaxed cell (GGA-PBE, Alexandria), the powder diffractogram of YCo6B3 was computed for Cu Kα (λ = 1.5418 Å).
Kinematic intensities with the Lorentz-polarization factor, no thermal factor.

Structural model:
Cell lengths 4.9767, 5.0491, 5.5084 Å; angles 85.54, 63.53, 60.54 degrees
Space group P1 (No. 1)
Symmetry-distinct sites (fractional):
Y: 0.0000 0.0000 0.0000 (multiplicity 1)
Co: 0.1093 0.4681 0.7872 (multiplicity 1)
Co: 0.2588 0.1048 0.3979 (multiplicity 1)
Co: 0.3045 0.5805 0.3124 (multiplicity 1)
Co: 0.6351 0.4646 0.7851 (multiplicity 1)
Co: 0.6861 0.9500 0.6716 (multiplicity 1)
Co: 0.8049 0.5740 0.3126 (multiplicity 1)
B: 0.3252 0.3022 0.0467 (multiplicity 1)
B: 0.5856 0.3246 0.4919 (multiplicity 1)
B: 0.5920 0.7653 0.0502 (multiplicity 1)

Most intense lines, 2θ = 15–90°, in order of rising 2θ:
(hkl)  two_theta  I/Imax
1 1 -1  33.00  24
1 0 2  33.19  23
1 0 -1  36.09  21
1 1 2  36.32  19
0 1 -2  39.16  25
2 0 1  41.82  100
2 2 1  41.94  60
0 2 -1  42.59  21
0 1 2  46.13  27
2 1 3  52.91  18

***

Entry 9:
Starting from a DFT-relaxed cell (GGA-PBE, Alexandria), the powder diffractogram of YCo22B6 was computed for Cu Kα (λ = 1.5418 Å).
Kinematic intensities with the Lorentz-polarization factor, no thermal factor.

Structural model:
Cell lengths 10.5582, 10.5582, 10.5582 Å; angles 90.00, 90.00, 90.00 degrees
Space group Fm-3m (No. 225)
Symmetry-distinct sites (fractional):
Y: 0.0000 0.0000 0.0000 (multiplicity 4)
Co: 0.0000 0.1746 0.1746 (multiplicity 48)
Co: 0.1186 0.1186 0.3814 (multiplicity 32)
Co: 0.2500 0.2500 0.2500 (multiplicity 8)
B: 0.0000 0.0000 0.2726 (multiplicity 24)

Most intense lines, 2θ = 15–90°, in order of rising 2θ:
(hkl)  two_theta  I/Imax
2 2 2  29.30  6
4 2 0  38.12  16
4 2 2  41.92  30
3 3 3  44.59  100
4 4 0  48.79  24
5 3 1  51.19  21
6 0 0  51.96  11
6 2 2  57.94  5
6 6 0  76.57  22
5 5 5  78.45  13

***

Entry 10:
Starting from a DFT-relaxed cell (GGA-PBE, Alexandria), the powder diffractogram of YCo3B3 was computed for Cu Kα (λ = 1.5418 Å).
Kinematic intensities with the Lorentz-polarization factor, no thermal factor.

Structural model:
Cell lengths 6.5922, 6.6633, 7.3111 Å; angles 90.00, 106.80, 90.00 degrees
Space group P2_1 (No. 4)
Symmetry-distinct sites (fractional):
Y: 0.1419 0.0000 0.0968 (multiplicity 2)
Y: 0.2888 0.5521 0.6191 (multiplicity 2)
Co: 0.0832 0.1825 0.6939 (multiplicity 2)
Co: 0.0829 0.3339 0.2846 (multiplicity 2)
Co: 0.2853 0.6632 0.9719 (multiplicity 2)
Co: 0.3272 0.9600 0.5000 (multiplicity 2)
Co: 0.4393 0.3730 0.1600 (multiplicity 2)
Co: 0.4706 0.7073 0.3209 (multiplicity 2)
B: 0.0652 0.8822 0.5333 (multiplicity 2)
B: 0.1853 0.6008 0.2147 (multiplicity 2)
B: 0.2375 0.3587 0.9088 (multiplicity 2)
B: 0.2424 0.9087 0.7725 (multiplicity 2)
B: 0.3883 0.2600 0.3992 (multiplicity 2)
B: 0.3943 0.1489 0.8891 (multiplicity 2)

Most intense lines, 2θ = 15–90°, in order of rising 2θ:
(hkl)  two_theta  I/Imax
2 1 -1  30.60  100
2 1 0  31.35  62
1 1 2  35.39  70
2 2 -1  38.70  51
1 1 -3  39.50  38
0 1 3  40.98  43
0 3 1  42.71  81
2 1 -3  43.20  56
2 0 2  43.87  42
0 2 3  47.58  37

***

Entry 11:
Starting from a DFT-relaxed cell (GGA-PBE, Alexandria), the powder diffractogram of ZrCo4B4 was computed for Cu Kα (λ = 1.5418 Å).
Kinematic intensities with the Lorentz-polarization factor, no thermal factor.

Structural model:
Cell lengths 4.9451, 4.9451, 6.8896 Å; angles 90.00, 90.00, 90.00 degrees
Space group P4_2/nmc (No. 137, origin choice 2)
Symmetry-distinct sites (fractional):
Zr: 0.2500 0.7500 0.2500 (multiplicity 2)
Co: 0.9997 0.2500 0.1110 (multiplicity 8)
B: 0.0742 0.2500 0.4075 (multiplicity 8)

Most intense lines, 2θ = 15–90°, in order of rising 2θ:
(hkl)  two_theta  I/Imax
1 1 0  25.47  19
1 0 2  31.65  36
1 1 2  36.62  24
2 0 1  38.69  60
2 1 1  42.95  100
1 0 3  43.45  64
2 1 2  48.94  29
3 2 1  69.94  19
3 0 3  70.30  17
2 2 4  77.85  27

***

Entry 12:
Starting from a DFT-relaxed cell (GGA-PBE, Alexandria), the powder diffractogram of ZrCo2B4 was computed for Cu Kα (λ = 1.5418 Å).
Kinematic intensities with the Lorentz-polarization factor, no thermal factor.

Structural model:
Cell lengths 3.0856, 3.2450, 12.6272 Å; angles 90.00, 90.00, 90.00 degrees
Space group Immm (No. 71)
Symmetry-distinct sites (fractional):
Zr: 0.0000 0.0000 0.0000 (multiplicity 2)
Co: 0.0000 0.5000 0.3120 (multiplicity 4)
B: 0.0000 0.0000 0.4178 (multiplicity 4)
B: 0.0000 0.5000 0.1529 (multiplicity 4)

Most intense lines, 2θ = 15–90°, in order of rising 2θ:
(hkl)  two_theta  I/Imax
0 1 1  28.40  46
1 0 3  36.09  67
1 1 2  42.92  100
0 1 5  45.51  44
1 1 4  49.98  13
0 2 0  56.74  14
2 0 0  59.96  11
1 2 3  69.11  18
1 1 8  73.43  17
2 1 5  78.38  16